Structure and simulated powder XRD pattern of K4V2O9 (the PBE+U geometry in Alexandria; Cu Kα X-rays).
Intensities are scaled so that the largest is 100.

Peak list (12 most intense, 2θ = 10–80°, by angle)
2theta  d_spacing  I (rel.)  index
14.17  6.250  44  0 2 0
15.86  5.588  38  2 0 0
26.14  3.409  30  0 2 2
27.12  3.288  24  2 0 2
27.28  3.269  16  3 1 1
30.70  2.912  100  2 2 2
32.03  2.794  28  4 0 0
32.83  2.728  18  2 4 0
43.44  2.083  10  4 4 0
44.55  2.034  18  0 0 4
44.92  2.018  16  4 4 1
56.28  1.635  9  6 2 2

Structural model:
```
data_K4V2O9
_chemical_formula_sum 'K16 V8 O36'
_cell_length_a 11.1764
_cell_length_b 12.5009
_cell_length_c 8.1344
_cell_angle_alpha 90.00
_cell_angle_beta 90.00
_cell_angle_gamma 90.00
_symmetry_space_group_name_H-M 'C m c m'
_symmetry_Int_Tables_number 63
_symmetry_space_group_name_Hall '-C 2c 2'
loop_
_atom_site_label
_atom_site_fract_x
_atom_site_fract_y
_atom_site_fract_z
K1 0.0000 0.0170 0.2500
K2 0.0000 0.4653 0.7500
K3 0.2233 0.3118 0.2500
V1 0.0000 0.2284 0.5244
O1 0.0000 0.2355 0.7500
O2 0.0000 0.3546 0.0553
O3 0.1256 0.1587 0.0344
O4 0.2340 0.0836 0.2500
```